For KMnReO6, a cell relaxed with PBE+U gives the computed powder X-ray diffraction pattern in this record (a wavelength of 1.5418 Å).
Peak positions follow from Bragg's law for the DFT cell and can differ from measured ones.

Main lines, by angle (2θ = 10–80°):
two_theta, I (rel.), hkl
14.76, 83, 0 0 1
19.93, 45, 1 1 0
24.89, 100, 1 1 1
34.89, 28, 2 0 0
38.07, 30, 2 0 1
43.33, 18, 2 2 1
46.50, 43, 2 0 2
56.80, 19, 3 1 1

Structure:
a = 5.1428 Å, b = 8.9092 Å, c = 6.0027 Å
α = 90.00°, β = 90.10°, γ = 90.00°
Space group C2 (No. 5)
One atom of each set of equivalent atoms:
K 0.0000 0.0000 0.0000 [2 per cell]
Mn 0.0000 0.6666 0.5000 [2 per cell]
Re 0.0000 0.3333 0.5000 [2 per cell]
O 0.1085 0.4975 0.3208 [4 per cell]
O 0.1914 0.1967 0.3209 [4 per cell]
O 0.1988 0.8057 0.3210 [4 per cell]